[1]
This entry pairs a crystal structure of CaAs2Pd2 with its calculated powder diffraction line list. Radiation: Cu Kα (λ = 1.5418 Å). Structure: a cell relaxed with PBE.

Principal peaks in the range 10° ≤ 2θ ≤ 90°, by angle:
2θ = 17.26°, I = 52
2θ = 33.27°, I = 30
2θ = 33.92°, I = 100
2θ = 41.43°, I = 68
2θ = 45.99°, I = 64
2θ = 60.04°, I = 22
2θ = 70.78°, I = 22
2θ = 78.80°, I = 26

Atomic structure:
a b c (Å): 5.992 5.992 5.992
angles (deg): 137.34 137.34 61.91
Fractional positions:
Ca: 0.000 0.000 0.000
As: 0.379 0.379 0.000
As: 0.621 0.621 0.000
Pd: 0.250 0.750 0.500
Pd: 0.750 0.250 0.500

---

[2]
This entry pairs a crystal structure of CaAs4Rh6 with its calculated powder diffraction line list. Radiation: Cu Kα (λ = 1.5418 Å). Structure: a cell relaxed with PBE.

Principal peaks in the range 10° ≤ 2θ ≤ 90°, by angle:
2θ = 14.01°, I = 32
2θ = 36.93°, I = 100
2θ = 37.66°, I = 27
2θ = 42.93°, I = 21
2θ = 44.76°, I = 79
2θ = 47.66°, I = 29
2θ = 49.99°, I = 33
2θ = 79.96°, I = 22

Atomic structure:
a b c (Å): 7.297 7.297 3.816
angles (deg): 90.00 90.00 120.00
Fractional positions:
Ca: 0.000 0.000 0.000
As: 0.189 0.378 0.500
As: 0.189 0.811 0.500
As: 0.622 0.811 0.500
As: 0.667 0.333 0.000
Rh: 0.070 0.535 0.000
Rh: 0.399 0.200 0.500
Rh: 0.465 0.535 0.000
Rh: 0.465 0.930 0.000
Rh: 0.800 0.200 0.500
Rh: 0.800 0.601 0.500